Record 1
Calculated powder X-ray diffraction pattern
Compound: Y12CdIn3
Radiation: Cu Ka
Structure: the GGA-PBE geometry in Alexandria
Neutral-atom scattering factors, no anomalous dispersion.

Peak list (10 most intense, 15° ≤ 2θ ≤ 90°, low angle first)
| 2θ (°) | I_rel | index |
| --- | --- | --- |
| 18.22 | 1 | 1 0 0 |
| 25.87 | 1 | 1 1 0 |
| 31.83 | 100 | 1 1 4 |
| 36.92 | 50 | 2 0 0 |
| 41.46 | 1 | 2 1 0 |
| 53.20 | 34 | 2 2 0 |
| 63.34 | 39 | 3 1 4 |
| 66.52 | 11 | 2 2 8 |
| 78.58 | 5 | 4 0 0 |
| 87.27 | 16 | 3 3 4 |

Atomic structure:
```
data_Y12CdIn3
_space_group_name_H-M_alt 'P 4/m m m'
_space_group_IT_number 123
_space_group_name_Hall '-P 4 2'
_cell_length_a 4.8697
_cell_length_b 4.8697
_cell_length_c 19.4780
_cell_angle_alpha 90.00
_cell_angle_beta 90.00
_cell_angle_gamma 90.00
loop_
_atom_site_label
_atom_site_type_symbol
_atom_site_fract_x
_atom_site_fract_y
_atom_site_fract_z
Y1 Y 0.0000 0.0000 0.0000
Y2 Y 0.0000 0.0000 0.2498
Y3 Y 0.0000 0.0000 0.5000
Y4 Y 0.0000 0.5000 0.1251
Y5 Y 0.0000 0.5000 0.3751
Cd1 Cd 0.5000 0.5000 0.0000
In1 In 0.5000 0.5000 0.2497
In2 In 0.5000 0.5000 0.5000
```

Record 2
Calculated powder X-ray diffraction pattern
Compound: YCd14In
Radiation: Cu Ka
Structure: the GGA-PBE geometry in Alexandria
Neutral-atom scattering factors, no anomalous dispersion.

Peak list (9 most intense, 15° ≤ 2θ ≤ 90°, low angle first)
| 2θ (°) | I_rel | index |
| --- | --- | --- |
| 34.22 | 100 | 2 0 2 |
| 38.55 | 36 | 2 2 0 |
| 41.96 | 14 | 0 0 4 |
| 55.66 | 12 | 4 0 0 |
| 58.29 | 20 | 2 2 4 |
| 66.99 | 26 | 4 2 2 |
| 71.69 | 10 | 2 0 6 |
| 72.08 | 10 | 4 0 4 |
| 82.64 | 4 | 4 4 0 |

Atomic structure:
```
data_YCd14In
_space_group_name_H-M_alt 'P 4/m m m'
_space_group_IT_number 123
_space_group_name_Hall '-P 4 2'
_cell_length_a 6.6048
_cell_length_b 6.6048
_cell_length_c 8.6130
_cell_angle_alpha 90.00
_cell_angle_beta 90.00
_cell_angle_gamma 90.00
loop_
_atom_site_label
_atom_site_type_symbol
_atom_site_fract_x
_atom_site_fract_y
_atom_site_fract_z
Y1 Y 0.0000 0.0000 0.0000
Cd1 Cd 0.0000 0.0000 0.5000
Cd2 Cd 0.0000 0.5000 0.0000
Cd3 Cd 0.0000 0.5000 0.5000
Cd4 Cd 0.2498 0.2498 0.2583
Cd5 Cd 0.5000 0.5000 0.5000
In1 In 0.5000 0.5000 0.0000
```

Record 3
Calculated powder X-ray diffraction pattern
Compound: Y4Cd3In
Radiation: Cu Ka
Structure: the GGA-PBE geometry in Alexandria
Neutral-atom scattering factors, no anomalous dispersion.

Peak list (8 most intense, 15° ≤ 2θ ≤ 90°, low angle first)
| 2θ (°) | I_rel | index |
| --- | --- | --- |
| 23.70 | 2 | 1 0 4 |
| 33.76 | 100 | 1 1 0 |
| 41.66 | 1 | 0 2 4 |
| 48.49 | 17 | 2 0 8 |
| 54.66 | 1 | 2 1 4 |
| 60.39 | 35 | 3 0 0 |
| 71.00 | 11 | 2 2 0 |
| 80.97 | 15 | 3 1 8 |

Atomic structure:
```
data_Y4Cd3In
_space_group_name_H-M_alt 'R -3 m'
_space_group_IT_number 166
_space_group_name_Hall '-R 3 2"'
_cell_length_a 5.3075
_cell_length_b 5.3075
_cell_length_c 26.0413
_cell_angle_alpha 90.00
_cell_angle_beta 90.00
_cell_angle_gamma 120.00
loop_
_atom_site_label
_atom_site_type_symbol
_atom_site_fract_x
_atom_site_fract_y
_atom_site_fract_z
Y1 Y 0.0000 0.0000 0.1247
Y2 Y 0.0000 0.0000 0.3747
Cd1 Cd 0.0000 0.0000 0.0000
Cd2 Cd 0.0000 0.0000 0.2515
In1 In 0.0000 0.0000 0.5000
```

Record 4
Calculated powder X-ray diffraction pattern
Compound: ZnCd3In
Radiation: Cu Ka
Structure: the GGA-PBE geometry in Alexandria
Neutral-atom scattering factors, no anomalous dispersion.

Peak list (12 most intense, 15° ≤ 2θ ≤ 90°, low angle first)
| 2θ (°) | I_rel | index |
| --- | --- | --- |
| 28.98 | 59 | 2 1 0 |
| 30.48 | 100 | 1 2 0 |
| 32.76 | 50 | 1 2 -2 |
| 34.59 | 42 | 3 1 -2 |
| 34.90 | 45 | 0 2 2 |
| 35.57 | 73 | 2 2 -2 |
| 36.05 | 71 | 3 1 -3 |
| 36.58 | 50 | 1 0 -4 |
| 37.88 | 60 | 2 2 0 |
| 40.45 | 39 | 3 1 -4 |
| 43.52 | 41 | 1 3 -1 |
| 65.87 | 43 | 1 4 2 |

Atomic structure:
```
data_ZnCd3In
_space_group_name_H-M_alt 'P 1 21/c 1'
_space_group_IT_number 14
_space_group_name_Hall '-P 2ybc'
_cell_length_a 8.4930
_cell_length_b 6.4544
_cell_length_c 10.3057
_cell_angle_alpha 90.00
_cell_angle_beta 124.35
_cell_angle_gamma 90.00
loop_
_atom_site_label
_atom_site_type_symbol
_atom_site_fract_x
_atom_site_fract_y
_atom_site_fract_z
Zn1 Zn 0.0244 0.1767 0.0750
Cd1 Cd 0.0894 0.7408 0.7334
Cd2 Cd 0.2635 0.5031 0.0944
Cd3 Cd 0.3694 0.1478 0.3709
In1 In 0.3567 0.0133 0.0694
```

Record 5
Calculated powder X-ray diffraction pattern
Compound: ZnCd12In16
Radiation: Cu Ka
Structure: the GGA-PBE geometry in Alexandria
Neutral-atom scattering factors, no anomalous dispersion.

Peak list (12 most intense, 15° ≤ 2θ ≤ 90°, low angle first)
| 2θ (°) | I_rel | index |
| --- | --- | --- |
| 31.55 | 24 | 0 4 2 |
| 33.49 | 96 | 1 5 1 |
| 33.56 | 100 | 4 0 -1 |
| 37.16 | 47 | 2 0 2 |
| 37.27 | 16 | 3 1 -4 |
| 38.88 | 17 | 2 6 0 |
| 40.51 | 18 | 1 7 0 |
| 40.60 | 21 | 1 1 -4 |
| 57.54 | 9 | 5 5 -5 |
| 59.84 | 13 | 2 8 -4 |
| 59.94 | 18 | 1 5 4 |
| 60.04 | 16 | 7 1 -5 |

Atomic structure:
```
data_ZnCd12In16
_space_group_name_H-M_alt 'C 1 m 1'
_space_group_IT_number 8
_space_group_name_Hall 'C -2y'
_cell_length_a 11.3222
_cell_length_b 16.0793
_cell_length_c 9.8001
_cell_angle_alpha 90.00
_cell_angle_beta 125.17
_cell_angle_gamma 90.00
loop_
_atom_site_label
_atom_site_type_symbol
_atom_site_fract_x
_atom_site_fract_y
_atom_site_fract_z
Zn1 Zn 0.0000 0.0000 0.0000
Cd1 Cd 0.0034 0.5000 0.4598
Cd2 Cd 0.1874 0.3107 0.0879
Cd3 Cd 0.2930 0.4074 0.6691
Cd4 Cd 0.2936 0.0000 0.0804
Cd5 Cd 0.3725 0.3104 0.4658
Cd6 Cd 0.4100 0.0941 0.9074
Cd7 Cd 0.4708 0.4074 0.2770
In1 In 0.0201 0.3322 0.2828
In2 In 0.0212 0.0000 0.6087
In3 In 0.0325 0.3461 0.6857
In4 In 0.1217 0.1546 0.8666
In5 In 0.1833 0.5000 0.2695
In6 In 0.2031 0.2038 0.5907
In7 In 0.2063 0.5000 0.9396
In8 In 0.2315 0.1355 0.2711
In9 In 0.2848 0.0000 0.5634
In10 In 0.3958 0.2961 0.9719
```

Record 6
Calculated powder X-ray diffraction pattern
Compound: ZnCd4In
Radiation: Cu Ka
Structure: the GGA-PBE geometry in Alexandria
Neutral-atom scattering factors, no anomalous dispersion.

Peak list (12 most intense, 15° ≤ 2θ ≤ 90°, low angle first)
| 2θ (°) | I_rel | index |
| --- | --- | --- |
| 28.75 | 69 | 1 3 -1 |
| 28.91 | 70 | 3 1 -2 |
| 37.57 | 100 | 3 1 0 |
| 37.72 | 32 | 3 1 -3 |
| 38.08 | 57 | 0 2 2 |
| 39.27 | 61 | 2 4 -1 |
| 39.46 | 58 | 4 2 -2 |
| 42.14 | 47 | 2 2 1 |
| 61.96 | 21 | 4 4 0 |
| 62.08 | 22 | 4 4 -4 |
| 64.73 | 21 | 0 6 2 |
| 68.06 | 21 | 3 1 2 |

Atomic structure:
```
data_ZnCd4In
_space_group_name_H-M_alt 'C 1 2/m 1'
_space_group_IT_number 12
_space_group_name_Hall '-C 2y'
_cell_length_a 10.1958
_cell_length_b 10.2748
_cell_length_c 7.3618
_cell_angle_alpha 90.00
_cell_angle_beta 133.68
_cell_angle_gamma 90.00
loop_
_atom_site_label
_atom_site_type_symbol
_atom_site_fract_x
_atom_site_fract_y
_atom_site_fract_z
Zn1 Zn 0.0000 0.2494 0.0000
Cd1 Cd 0.0073 0.5000 0.2195
Cd2 Cd 0.1424 0.1475 0.7833
Cd3 Cd 0.2089 0.0000 0.2186
In1 In 0.2500 0.2500 0.5000
```

Record 7
Calculated powder X-ray diffraction pattern
Compound: Zr6CdIn
Radiation: Cu Ka
Structure: the GGA-PBE geometry in Alexandria
Neutral-atom scattering factors, no anomalous dispersion.

Peak list (12 most intense, 15° ≤ 2θ ≤ 90°, low angle first)
| 2θ (°) | I_rel | index |
| --- | --- | --- |
| 22.30 | 2 | 1 1 0 |
| 31.74 | 43 | 2 0 0 |
| 35.60 | 100 | 2 1 0 |
| 39.13 | 97 | 2 1 1 |
| 51.23 | 1 | 3 0 1 |
| 56.54 | 7 | 2 2 2 |
| 59.07 | 22 | 3 0 2 |
| 61.53 | 49 | 3 2 1 |
| 66.30 | 17 | 4 0 0 |
| 75.38 | 13 | 4 2 0 |
| 77.59 | 19 | 4 2 1 |
| 79.77 | 11 | 3 3 2 |

Atomic structure:
```
data_Zr6CdIn
_space_group_name_H-M_alt 'P m -3'
_space_group_IT_number 200
_space_group_name_Hall '-P 2 2 3'
_cell_length_a 5.6388
_cell_length_b 5.6388
_cell_length_c 5.6388
_cell_angle_alpha 90.00
_cell_angle_beta 90.00
_cell_angle_gamma 90.00
loop_
_atom_site_label
_atom_site_type_symbol
_atom_site_fract_x
_atom_site_fract_y
_atom_site_fract_z
Zr1 Zr 0.0000 0.2507 0.5000
Cd1 Cd 0.5000 0.5000 0.5000
In1 In 0.0000 0.0000 0.0000
```

Record 8
Calculated powder X-ray diffraction pattern
Compound: Zr4Cd3In
Radiation: Cu Ka
Structure: the GGA-PBE geometry in Alexandria
Neutral-atom scattering factors, no anomalous dispersion.

Peak list (12 most intense, 15° ≤ 2θ ≤ 90°, low angle first)
| 2θ (°) | I_rel | index |
| --- | --- | --- |
| 33.97 | 32 | 1 2 1 |
| 34.40 | 22 | 1 0 2 |
| 35.03 | 47 | 4 0 0 |
| 37.31 | 100 | 2 2 1 |
| 37.71 | 31 | 2 0 2 |
| 42.38 | 17 | 3 2 1 |
| 42.73 | 12 | 3 0 2 |
| 58.26 | 10 | 0 4 0 |
| 59.11 | 18 | 0 2 3 |
| 64.34 | 19 | 6 2 1 |
| 69.83 | 12 | 4 4 0 |
| 70.59 | 21 | 4 2 3 |

Atomic structure:
```
data_Zr4Cd3In
_space_group_name_H-M_alt 'P m m a'
_space_group_IT_number 51
_space_group_name_Hall '-P 2a 2a'
_cell_length_a 10.2462
_cell_length_b 6.3343
_cell_length_c 5.3913
_cell_angle_alpha 90.00
_cell_angle_beta 90.00
_cell_angle_gamma 90.00
loop_
_atom_site_label
_atom_site_type_symbol
_atom_site_fract_x
_atom_site_fract_y
_atom_site_fract_z
Zr1 Zr 0.0000 0.2495 0.0000
Zr2 Zr 0.2500 0.2497 0.3532
Cd1 Cd 0.0000 0.0000 0.5000
Cd2 Cd 0.2500 0.0000 0.8495
Cd3 Cd 0.2500 0.5000 0.8530
In1 In 0.0000 0.5000 0.5000
```

Record 9
Calculated powder X-ray diffraction pattern
Compound: Zr2Cd6In
Radiation: Cu Ka
Structure: the GGA-PBE geometry in Alexandria
Neutral-atom scattering factors, no anomalous dispersion.

Peak list (12 most intense, 15° ≤ 2θ ≤ 90°, low angle first)
| 2θ (°) | I_rel | index |
| --- | --- | --- |
| 24.60 | 18 | 0 0 4 |
| 29.31 | 15 | 0 2 0 |
| 31.86 | 17 | 0 2 2 |
| 34.25 | 34 | 1 1 4 |
| 35.32 | 100 | 1 2 1 |
| 36.12 | 67 | 1 0 5 |
| 37.03 | 54 | 2 0 0 |
| 38.62 | 16 | 0 2 4 |
| 47.17 | 41 | 1 2 5 |
| 65.63 | 15 | 3 2 1 |
| 68.77 | 14 | 1 2 9 |
| 72.79 | 15 | 1 4 5 |

Atomic structure:
```
data_Zr2Cd6In
_space_group_name_H-M_alt 'I m m m'
_space_group_IT_number 71
_space_group_name_Hall '-I 2 2'
_cell_length_a 4.8557
_cell_length_b 6.0951
_cell_length_c 14.4762
_cell_angle_alpha 90.00
_cell_angle_beta 90.00
_cell_angle_gamma 90.00
loop_
_atom_site_label
_atom_site_type_symbol
_atom_site_fract_x
_atom_site_fract_y
_atom_site_fract_z
Zr1 Zr 0.0000 0.0000 0.1015
Cd1 Cd 0.0000 0.2488 0.2998
Cd2 Cd 0.0000 0.2656 0.5000
In1 In 0.0000 0.5000 0.0000
```

Record 10
Calculated powder X-ray diffraction pattern
Compound: Cd3Ir
Radiation: Cu Ka
Structure: the GGA-PBE geometry in Alexandria
Neutral-atom scattering factors, no anomalous dispersion.

Peak list (12 most intense, 15° ≤ 2θ ≤ 90°, low angle first)
| 2θ (°) | I_rel | index |
| --- | --- | --- |
| 36.34 | 100 | 1 0 2 |
| 41.80 | 36 | 1 1 0 |
| 43.03 | 12 | 0 0 4 |
| 43.22 | 3 | 1 1 1 |
| 43.83 | 9 | 1 0 3 |
| 60.59 | 12 | 2 0 0 |
| 61.55 | 17 | 1 1 4 |
| 71.03 | 4 | 1 1 5 |
| 72.75 | 25 | 2 1 2 |
| 74.49 | 7 | 1 0 6 |
| 77.18 | 9 | 2 0 4 |
| 77.74 | 4 | 2 1 3 |

Atomic structure:
```
data_Cd3Ir
_space_group_name_H-M_alt 'P 4/m m m'
_space_group_IT_number 123
_space_group_name_Hall '-P 4 2'
_cell_length_a 3.0563
_cell_length_b 3.0563
_cell_length_c 8.4073
_cell_angle_alpha 90.00
_cell_angle_beta 90.00
_cell_angle_gamma 90.00
loop_
_atom_site_label
_atom_site_type_symbol
_atom_site_fract_x
_atom_site_fract_y
_atom_site_fract_z
Cd1 Cd 0.0000 0.0000 0.0000
Cd2 Cd 0.5000 0.5000 0.2822
Ir1 Ir 0.0000 0.0000 0.5000
```

Record 11
Calculated powder X-ray diffraction pattern
Compound: Cd41Ir8
Radiation: Cu Ka
Structure: the GGA-PBE geometry in Alexandria
Neutral-atom scattering factors, no anomalous dispersion.

Peak list (12 most intense, 15° ≤ 2θ ≤ 90°, low angle first)
| 2θ (°) | I_rel | index |
| --- | --- | --- |
| 20.20 | 49 | 2 -1 3 |
| 20.39 | 44 | 3 0 0 |
| 28.86 | 31 | 2 2 3 |
| 35.60 | 53 | 5 -4 3 |
| 36.82 | 36 | 2 4 1 |
| 37.19 | 47 | 4 -1 5 |
| 37.30 | 52 | 3 2 4 |
| 38.77 | 37 | 5 1 1 |
| 39.18 | 48 | 0 4 5 |
| 39.51 | 33 | 3 3 3 |
| 41.06 | 100 | 4 -2 6 |
| 41.47 | 72 | 6 0 0 |

Atomic structure:
```
data_Cd41Ir8
_space_group_name_H-M_alt 'R -3'
_space_group_IT_number 148
_space_group_name_Hall '-R 3'
_cell_length_a 15.0869
_cell_length_b 15.0869
_cell_length_c 16.2263
_cell_angle_alpha 90.00
_cell_angle_beta 90.00
_cell_angle_gamma 120.00
loop_
_atom_site_label
_atom_site_type_symbol
_atom_site_fract_x
_atom_site_fract_y
_atom_site_fract_z
Cd1 Cd 0.0000 0.0000 0.0000
Cd2 Cd 0.0000 0.0000 0.5000
Cd3 Cd 0.0000 0.5000 0.0000
Cd4 Cd 0.0019 0.8167 0.7815
Cd5 Cd 0.0085 0.1234 0.6607
Cd6 Cd 0.0104 0.3176 0.7672
Cd7 Cd 0.0131 0.8470 0.1166
Cd8 Cd 0.0192 0.4845 0.6623
Cd9 Cd 0.0922 0.5586 0.1692
Ir1 Ir 0.0000 0.0000 0.1946
Ir2 Ir 0.0194 0.3115 0.5974
```

Record 12
Calculated powder X-ray diffraction pattern
Compound: CdIr3
Radiation: Cu Ka
Structure: the GGA-PBE geometry in Alexandria
Neutral-atom scattering factors, no anomalous dispersion.

Peak list (10 most intense, 15° ≤ 2θ ≤ 90°, low angle first)
| 2θ (°) | I_rel | index |
| --- | --- | --- |
| 24.30 | 3 | 1 1 1 |
| 28.13 | 1 | 2 0 0 |
| 40.21 | 100 | 2 2 0 |
| 47.54 | 2 | 3 1 1 |
| 58.17 | 17 | 4 0 0 |
| 63.97 | 1 | 3 3 1 |
| 65.84 | 1 | 4 2 0 |
| 73.07 | 35 | 4 2 2 |
| 78.32 | 1 | 5 1 1 |
| 86.86 | 11 | 4 4 0 |

Atomic structure:
```
data_CdIr3
_space_group_name_H-M_alt 'F m -3 m'
_space_group_IT_number 225
_space_group_name_Hall '-F 4 2 3'
_cell_length_a 6.3438
_cell_length_b 6.3438
_cell_length_c 6.3438
_cell_angle_alpha 90.00
_cell_angle_beta 90.00
_cell_angle_gamma 90.00
loop_
_atom_site_label
_atom_site_type_symbol
_atom_site_fract_x
_atom_site_fract_y
_atom_site_fract_z
Cd1 Cd 0.0000 0.0000 0.0000
Ir1 Ir 0.0000 0.0000 0.5000
Ir2 Ir 0.2500 0.2500 0.2500
```